This entry pairs a crystal structure of TbHfSb3 with its computed PXRD pattern. Radiation: Cu Kα. Structure: a crystal structure in Alexandria, relaxed with PBE.
Lines closer than 0.1° are merged.

Peak list (10 most intense, 10 to 90 degrees two-theta, low angle first)
28.44°, I 25
31.30°, I 100
32.30°, I 20
33.75°, I 36
34.00°, I 34
34.45°, I 27
34.89°, I 43
37.78°, I 30
40.22°, I 58
53.66°, I 23

Structural model:
abc: 13.1831 6.3520 6.3321
angles: 90.00 90.00 90.00
Space group Pbcm (No. 57)
One atom of each set of equivalent atoms:
Tb  0.1794  0.0126  0.2500 [4 per cell]
Hf  0.4069  0.7500  0.0000 [4 per cell]
Sb  0.0035  0.7500  0.0000 [4 per cell]
Sb  0.2574  0.5067  0.2500 [4 per cell]
Sb  0.4175  0.1253  0.2500 [4 per cell]



This entry pairs a crystal structure of Cs2MnGaSe4 with its computed PXRD pattern. Radiation: Cu Kα. Structure: a crystal structure in Alexandria, relaxed with PBE.
Lines closer than 0.1° are merged.

Peak list (10 most intense, 10 to 90 degrees two-theta, low angle first)
14.24°, I 22
23.19°, I 17
24.57°, I 44
25.33°, I 100
29.17°, I 63
29.57°, I 26
36.07°, I 42
42.44°, I 18
46.78°, I 48
48.81°, I 17

Structural model:
abc: 6.2266 14.8952 24.8848
angles: 90.00 90.00 90.00
Space group Fddd (No. 70, origin choice 2)
One atom of each set of equivalent atoms:
Cs  0.1250  0.1250  0.3031 [16 per cell]
Mn  0.1250  0.1250  0.1250 [8 per cell]
Ga  0.1250  0.1250  0.6250 [8 per cell]
Se  0.1255  0.2797  0.4245 [32 per cell]



This entry pairs a crystal structure of Er3Cd2Co2 with its computed PXRD pattern. Radiation: Cu Kα. Structure: a crystal structure in Alexandria, relaxed with PBE.
Lines closer than 0.1° are merged.

Peak list (10 most intense, 10 to 90 degrees two-theta, low angle first)
31.64°, I 57
33.71°, I 100
34.63°, I 95
37.97°, I 30
39.75°, I 19
47.96°, I 23
48.07°, I 23
58.60°, I 20
58.89°, I 23
60.59°, I 37

Structural model:
abc: 3.7855 21.2721 3.7939
angles: 90.00 90.00 90.00
Space group Cmmm (No. 65)
One atom of each set of equivalent atoms:
Er  0.0000  0.0000  0.0000 [2 per cell]
Er  0.0000  0.1762  0.0000 [4 per cell]
Cd  0.0000  0.4127  0.5000 [4 per cell]
Co  0.0000  0.2769  0.5000 [4 per cell]



This entry pairs a crystal structure of Ca2SiO4 with its computed PXRD pattern. Radiation: Cu Kα. Structure: a crystal structure in Alexandria, relaxed with PBE.
Lines closer than 0.1° are merged.

Peak list (10 most intense, 10 to 90 degrees two-theta, low angle first)
14.60°, I 71
20.69°, I 35
21.65°, I 40
25.36°, I 35
26.48°, I 80
32.13°, I 100
32.29°, I 37
34.16°, I 44
34.76°, I 73
49.70°, I 35

Structural model:
abc: 5.5916 6.0758 12.1838
angles: 90.00 95.25 90.00
Space group P2_1/c (No. 14)
One atom of each set of equivalent atoms:
Ca  0.2410  0.0905  0.3043 [4 per cell]
Ca  0.2593  0.6586  0.4923 [4 per cell]
Si  0.2398  0.1903  0.5875 [4 per cell]
O  0.0061  0.2023  0.6627 [4 per cell]
O  0.1355  0.2314  0.9611 [4 per cell]
O  0.3812  0.5434  0.0996 [4 per cell]
O  0.4231  0.1041  0.1295 [4 per cell]



This entry pairs a crystal structure of TmSi2Rh4 with its computed PXRD pattern. Radiation: Cu Kα. Structure: a crystal structure in Alexandria, relaxed with PBE.
Lines closer than 0.1° are merged.

Peak list (10 most intense, 10 to 90 degrees two-theta, low angle first)
35.64°, I 100
37.23°, I 41
41.27°, I 21
44.69°, I 22
48.82°, I 18
49.18°, I 14
55.37°, I 10
62.95°, I 17
66.09°, I 20
82.55°, I 10

Structural model:
abc: 7.6380 7.6380 3.7311
angles: 90.00 90.00 90.00
Space group P4_2/mnm (No. 136)
One atom of each set of equivalent atoms:
Tm  0.0000  0.0000  0.0000 [2 per cell]
Si  0.2299  0.2299  0.5000 [4 per cell]
Rh  0.0712  0.6740  0.5000 [8 per cell]